Theoretical X-ray diffraction stick pattern
Compound: TlZn2Au10
Radiation: Cu Kα
Structure: a crystal structure in Alexandria, relaxed with GGA-PBE

Atomic structure:
Cell: 9.3352 7.2274 7.1638 Å, 80.88 49.86 49.26°
Sites, in units of the cell vectors:
Tl: 0.0000 0.0000 0.0000
Zn: 0.0000 0.0000 0.5000
Zn: 0.5000 0.5000 0.0000
Au: 0.0000 0.5000 0.0000
Au: 0.0096 0.6605 0.3395
Au: 0.2776 0.5081 0.4919
Au: 0.3395 0.9904 0.0096
Au: 0.4919 0.7224 0.2776
Au: 0.5000 0.0000 0.5000
Au: 0.5081 0.2776 0.7224
Au: 0.6605 0.0096 0.9904
Au: 0.7224 0.4919 0.5081
Au: 0.9904 0.3395 0.6605

Principal peaks in the range 2θ from 10° to 90°, most intense first:
d = 2.334 Å, intensity 1000
d = 2.441 Å, intensity 892
d = 2.350 Å, intensity 881
d = 2.734 Å, intensity 781
d = 2.369 Å, intensity 753
d = 2.168 Å, intensity 721
d = 2.158 Å, intensity 604
d = 2.864 Å, intensity 550
d = 1.367 Å, intensity 425
d = 1.358 Å, intensity 302